Entry 1:
Diffraction record for Li2Zr4As3P3O24. The X-ray powder pattern is calculated, not measured: it uses DFT lattice parameters and positions (PBE) and λ = 1.5418 Å (Cu Kα).

Cell and atoms:
Cell: 9.2035 9.2035 9.2035 Å, 59.44 59.44 59.44°
Element x y z (fractional)
Li 0.2375 0.2375 0.2375
Li 0.7625 0.7625 0.7625
Zr 0.1029 0.1029 0.1029
Zr 0.3870 0.3870 0.3870
Zr 0.6130 0.6130 0.6130
Zr 0.8971 0.8971 0.8971
As 0.2073 0.5000 0.7927
As 0.5000 0.7927 0.2073
As 0.7927 0.2073 0.5000
P 0.0000 0.7065 0.2935
P 0.2935 0.0000 0.7065
P 0.7065 0.2935 0.0000
O 0.0075 0.6717 0.8147
O 0.0601 0.8592 0.2467
O 0.1408 0.9399 0.7533
O 0.1561 0.5255 0.3070
O 0.1853 0.3283 0.9925
O 0.2467 0.0601 0.8592
O 0.2485 0.4405 0.6245
O 0.3070 0.1561 0.5255
O 0.3283 0.9925 0.1853
O 0.3755 0.5595 0.7515
O 0.4405 0.6245 0.2485
O 0.4745 0.8439 0.6930
O 0.5255 0.3070 0.1561
O 0.5595 0.7515 0.3755
O 0.6245 0.2485 0.4405
O 0.6717 0.8147 0.0075
O 0.6930 0.4745 0.8439
O 0.7515 0.3755 0.5595
O 0.7533 0.1408 0.9399
O 0.8147 0.0075 0.6717
O 0.8439 0.6930 0.4745
O 0.8592 0.2467 0.0601
O 0.9399 0.7533 0.1408
O 0.9925 0.1853 0.3283

Largest 10 diffraction maxima, by intensity, 2θ = 15–90°:
2θ (°), d/Å, I (rel.)
22.77, 3.905, 100
33.99, 2.638, 59
19.29, 4.601, 52
30.75, 2.908, 44
27.53, 3.240, 38
19.45, 4.563, 36
53.07, 1.726, 25
46.52, 1.952, 16
30.18, 2.961, 13
44.08, 2.054, 13

=====

Entry 2:
Diffraction record for Li2ThAs2O8. The X-ray powder pattern is calculated, not measured: it uses DFT lattice parameters and positions (PBE) and λ = 1.5418 Å (Cu Kα).

Cell and atoms:
Cell: 9.2336 14.0423 5.6958 Å, 90.00 106.22 90.00°
Element x y z (fractional)
Li 0.1038 0.2494 0.4145
Li 0.1038 0.2506 0.9145
Li 0.2276 0.0643 0.7101
Li 0.2276 0.4357 0.2101
Li 0.7724 0.5643 0.7899
Li 0.7724 0.9357 0.2899
Li 0.8962 0.7494 0.0855
Li 0.8962 0.7506 0.5855
Th 0.3809 0.6357 0.5662
Th 0.3809 0.8643 0.0662
Th 0.6191 0.1357 0.9338
Th 0.6191 0.3643 0.4338
As 0.1462 0.6261 0.9058
As 0.1462 0.8739 0.4058
As 0.3698 0.1328 0.2721
As 0.3698 0.3672 0.7721
As 0.6302 0.6328 0.2279
As 0.6302 0.8672 0.7279
As 0.8538 0.1261 0.5942
As 0.8538 0.3739 0.0942
O 0.0398 0.1523 0.6391
O 0.0398 0.3477 0.1391
O 0.1892 0.5552 0.6898
O 0.1892 0.9448 0.1898
O 0.1958 0.1803 0.2044
O 0.1958 0.3197 0.7044
O 0.2235 0.5757 0.1888
O 0.2235 0.9243 0.6888
O 0.2435 0.7271 0.8541
O 0.2435 0.7729 0.3541
O 0.3935 0.0543 0.0474
O 0.3935 0.4457 0.5474
O 0.4214 0.0921 0.5683
O 0.4214 0.4079 0.0683
O 0.4993 0.7155 0.2760
O 0.4993 0.7845 0.7760
O 0.5007 0.2155 0.2240
O 0.5007 0.2845 0.7240
O 0.5786 0.5921 0.9317
O 0.5786 0.9079 0.4317
O 0.6065 0.5543 0.4526
O 0.6065 0.9457 0.9526
O 0.7565 0.2271 0.6459
O 0.7565 0.2729 0.1459
O 0.7765 0.0757 0.3112
O 0.7765 0.4243 0.8112
O 0.8042 0.6803 0.2956
O 0.8042 0.8197 0.7956
O 0.8108 0.0552 0.8102
O 0.8108 0.4448 0.3102
O 0.9602 0.6523 0.8609
O 0.9602 0.8477 0.3609

Largest 10 diffraction maxima, by intensity, 2θ = 15–90°:
2θ (°), d/Å, I (rel.)
25.41, 3.506, 100
22.27, 3.992, 50
28.69, 3.111, 40
31.97, 2.799, 25
32.08, 2.790, 24
45.36, 1.999, 22
30.77, 2.906, 18
48.58, 1.874, 15
51.81, 1.765, 14
44.75, 2.025, 14

=====

Entry 3:
Diffraction record for LiU4As3O20. The X-ray powder pattern is calculated, not measured: it uses DFT lattice parameters and positions (PBE) and λ = 1.5418 Å (Cu Kα).

Cell and atoms:
Cell: 17.9800 17.9800 17.9800 Å, 156.56 156.56 33.39°
Element x y z (fractional)
Li 0.0000 0.0000 0.0000
Li 0.7500 0.2500 0.5000
U 0.0485 0.5485 0.5000
U 0.1730 0.6730 0.5000
U 0.2985 0.2985 0.0000
U 0.4230 0.4230 0.0000
U 0.4819 0.9819 0.5000
U 0.6063 0.1063 0.5000
U 0.7319 0.7319 0.0000
U 0.8563 0.8563 0.0000
As 0.0792 0.0792 0.0000
As 0.2702 0.7702 0.5000
As 0.3850 0.8850 0.5000
As 0.5202 0.5202 0.0000
As 0.6350 0.6350 0.0000
As 0.8292 0.3292 0.5000
O 0.0471 0.2309 0.1838
O 0.0471 0.8633 0.8162
O 0.0578 0.7374 0.3204
O 0.1038 0.6038 0.5000
O 0.1646 0.8573 0.3073
O 0.1732 0.4287 0.2554
O 0.1732 0.9178 0.7446
O 0.1787 0.4232 0.7554
O 0.2333 0.9819 0.2514
O 0.2462 0.2462 0.0000
O 0.2974 0.6035 0.3060
O 0.2974 0.9914 0.6940
O 0.3008 0.1067 0.1942
O 0.3535 0.5474 0.8060
O 0.3538 0.3538 0.0000
O 0.4171 0.7374 0.6796
O 0.4187 0.0944 0.6757
O 0.4187 0.7430 0.3243
O 0.4874 0.3078 0.8204
O 0.4874 0.6671 0.1796
O 0.4930 0.6687 0.8243
O 0.5496 0.0496 0.5000
O 0.5500 0.8573 0.6927
O 0.6073 0.4146 0.8073
O 0.6073 0.8000 0.1927
O 0.6133 0.2971 0.3162
O 0.6588 0.1588 0.5000
O 0.6678 0.4232 0.2446
O 0.7305 0.9819 0.7486
O 0.7319 0.4833 0.7514
O 0.7319 0.9805 0.2486
O 0.7414 0.5474 0.1940
O 0.7996 0.7996 0.0000
O 0.8444 0.6687 0.1757
O 0.8567 0.1625 0.3058
O 0.8567 0.5508 0.6942
O 0.9088 0.9088 0.0000
O 0.9125 0.1067 0.8058
O 0.9809 0.2971 0.6838
O 0.9962 0.4962 0.5000

Largest 10 diffraction maxima, by intensity, 2θ = 15–90°:
2θ (°), d/Å, I (rel.)
24.37, 3.652, 100
26.29, 3.390, 59
17.93, 4.947, 36
21.78, 4.081, 35
36.15, 2.485, 32
34.74, 2.583, 26
17.70, 5.012, 26
44.08, 2.054, 19
54.49, 1.684, 18
56.33, 1.633, 17

=====

Entry 4:
Diffraction record for LiZnAsO5. The X-ray powder pattern is calculated, not measured: it uses DFT lattice parameters and positions (PBE) and λ = 1.5418 Å (Cu Kα).

Cell and atoms:
Cell: 11.0046 8.3680 5.2573 Å, 90.00 90.00 90.00°
Element x y z (fractional)
Li 0.1762 0.1731 0.0000
Li 0.3238 0.6731 0.5000
Li 0.6762 0.3269 0.0000
Li 0.8238 0.8269 0.5000
Zn 0.1224 0.3705 0.5035
Zn 0.3776 0.8705 0.0035
Zn 0.6224 0.1295 0.5035
Zn 0.8776 0.6295 0.0035
As 0.1738 0.5781 0.0058
As 0.3262 0.0781 0.5058
As 0.6738 0.9219 0.0058
As 0.8262 0.4219 0.5058
O 0.0024 0.0895 0.0778
O 0.0454 0.6855 0.0798
O 0.1644 0.3903 0.1394
O 0.1951 0.5569 0.6819
O 0.2034 0.1760 0.6357
O 0.2966 0.6760 0.1357
O 0.3049 0.0569 0.1819
O 0.3356 0.8903 0.6394
O 0.4546 0.1855 0.5798
O 0.4976 0.5895 0.5778
O 0.5024 0.4105 0.0778
O 0.5454 0.8145 0.0798
O 0.6644 0.1097 0.1394
O 0.6951 0.9431 0.6819
O 0.7034 0.3240 0.6357
O 0.7966 0.8240 0.1357
O 0.8049 0.4431 0.1819
O 0.8356 0.6097 0.6394
O 0.9546 0.3145 0.5798
O 0.9976 0.9105 0.5778

Largest 10 diffraction maxima, by intensity, 2θ = 15–90°:
2θ (°), d/Å, I (rel.)
26.53, 3.360, 100
19.95, 4.452, 97
28.44, 3.138, 93
36.78, 2.443, 50
34.11, 2.629, 47
43.73, 2.070, 29
32.49, 2.756, 25
16.11, 5.502, 25
49.69, 1.835, 24
62.81, 1.479, 23

=====

Copy entry 4 word for word.
Diffraction record for LiZnAsO5. The X-ray powder pattern is calculated, not measured: it uses DFT lattice parameters and positions (PBE) and λ = 1.5418 Å (Cu Kα).

Cell and atoms:
Cell: 11.0046 8.3680 5.2573 Å, 90.00 90.00 90.00°
Element x y z (fractional)
Li 0.1762 0.1731 0.0000
Li 0.3238 0.6731 0.5000
Li 0.6762 0.3269 0.0000
Li 0.8238 0.8269 0.5000
Zn 0.1224 0.3705 0.5035
Zn 0.3776 0.8705 0.0035
Zn 0.6224 0.1295 0.5035
Zn 0.8776 0.6295 0.0035
As 0.1738 0.5781 0.0058
As 0.3262 0.0781 0.5058
As 0.6738 0.9219 0.0058
As 0.8262 0.4219 0.5058
O 0.0024 0.0895 0.0778
O 0.0454 0.6855 0.0798
O 0.1644 0.3903 0.1394
O 0.1951 0.5569 0.6819
O 0.2034 0.1760 0.6357
O 0.2966 0.6760 0.1357
O 0.3049 0.0569 0.1819
O 0.3356 0.8903 0.6394
O 0.4546 0.1855 0.5798
O 0.4976 0.5895 0.5778
O 0.5024 0.4105 0.0778
O 0.5454 0.8145 0.0798
O 0.6644 0.1097 0.1394
O 0.6951 0.9431 0.6819
O 0.7034 0.3240 0.6357
O 0.7966 0.8240 0.1357
O 0.8049 0.4431 0.1819
O 0.8356 0.6097 0.6394
O 0.9546 0.3145 0.5798
O 0.9976 0.9105 0.5778

Largest 10 diffraction maxima, by intensity, 2θ = 15–90°:
2θ (°), d/Å, I (rel.)
26.53, 3.360, 100
19.95, 4.452, 97
28.44, 3.138, 93
36.78, 2.443, 50
34.11, 2.629, 47
43.73, 2.070, 29
32.49, 2.756, 25
16.11, 5.502, 25
49.69, 1.835, 24
62.81, 1.479, 23